Li7Mn2Co3O12: computed XRD peak list (Cu Kα X-rays), based on a structure optimized by DFT (GGA+U).
Intensities are scaled so that the largest is 100.

Largest 10 diffraction maxima, sorted by position, 2θ = 10–90°:
| d_spacing | Position (°2θ) | Rel. int. |
| --- | --- | --- |
| 6.432 | 13.77 | 11 |
| 4.803 | 18.47 | 100 |
| 2.458 | 36.56 | 25 |
| 2.444 | 36.78 | 12 |
| 2.050 | 44.18 | 55 |
| 2.044 | 44.32 | 28 |
| 1.887 | 48.22 | 8 |
| 1.586 | 58.15 | 14 |
| 1.461 | 63.69 | 15 |
| 1.434 | 65.04 | 14 |

Atomic structure:
```
Li7Mn2Co3O12
1.0
4.8724 -4.3302 0.0000
4.8724 4.3302 0.0000
-0.8314 0.0000 4.8871
Li Mn Co O
7 2 3 12
direct
0.0000 0.0000 0.0000
0.0785 0.4130 0.2479
0.2350 0.2473 0.7589
0.4071 0.0789 0.2385
0.5870 0.9215 0.7521
0.7527 0.7650 0.2411
0.9211 0.5929 0.7615
0.1590 0.8410 0.5000
0.6709 0.3291 0.0000
0.3294 0.6706 0.0000
0.4954 0.5046 0.5000
0.8334 0.1666 0.5000
0.0639 0.7118 0.1404
0.1126 0.1155 0.3943
0.2123 0.5635 0.6363
0.2882 0.9361 0.8596
0.3875 0.3897 0.1253
0.4365 0.7877 0.3637
0.5601 0.2192 0.6363
0.6103 0.6125 0.8747
0.7074 0.0679 0.1369
0.7808 0.4399 0.3637
0.8845 0.8874 0.6057
0.9321 0.2926 0.8631
```